Starting from the PBE geometry in Alexandria, the X-ray diffraction stick pattern of Pr3Zn8In was calculated for Cu Ka.
Lines closer than 0.1° are merged.

Atomic structure:
a b c (Å): 9.563 9.563 9.563
angles (deg): 34.21 34.21 34.21
Positions (direct):
Pr 0.000 0.000 0.000
Pr 0.126 0.126 0.126
Pr 0.617 0.617 0.617
Zn 0.055 0.563 0.563
Zn 0.062 0.062 0.560
Zn 0.062 0.560 0.062
Zn 0.313 0.313 0.313
Zn 0.560 0.062 0.062
Zn 0.563 0.055 0.563
Zn 0.563 0.563 0.055
Zn 0.809 0.809 0.809
In 0.493 0.493 0.493

Peak list (10 most intense, 10 to 80 degrees two-theta, low angle first)
two_theta  I/Imax
31.81  53
32.28  49
37.52  52
37.72  100
38.13  48
39.32  34
60.62  24
60.91  24
66.48  25
67.56  22

Starting from the PBE geometry in Alexandria, the X-ray diffraction stick pattern of Pr11Zn4In9 was calculated for Cu Ka.
Lines closer than 0.1° are merged.

Atomic structure:
a b c (Å): 13.657 13.657 3.877
angles (deg): 90.00 90.00 112.67
Positions (direct):
Pr 0.000 0.000 0.000
Pr 0.064 0.412 0.000
Pr 0.162 0.838 0.000
Pr 0.300 0.300 0.000
Pr 0.368 0.632 0.000
Pr 0.412 0.064 0.000
Pr 0.588 0.936 0.000
Pr 0.632 0.368 0.000
Pr 0.700 0.700 0.000
Pr 0.838 0.162 0.000
Pr 0.936 0.588 0.000
Zn 0.250 0.450 0.500
Zn 0.450 0.250 0.500
Zn 0.550 0.750 0.500
Zn 0.750 0.550 0.500
In 0.073 0.217 0.500
In 0.160 0.632 0.500
In 0.217 0.073 0.500
In 0.368 0.840 0.500
In 0.500 0.500 0.500
In 0.632 0.160 0.500
In 0.783 0.927 0.500
In 0.840 0.368 0.500
In 0.927 0.783 0.500

Peak list (10 most intense, 10 to 80 degrees two-theta, low angle first)
two_theta  I/Imax
30.30  11
30.88  9
31.40  14
33.07  100
33.46  43
35.22  9
36.47  9
46.87  16
48.05  9
58.81  16

Starting from the PBE geometry in Alexandria, the X-ray diffraction stick pattern of InPt2 was calculated for Cu Ka.
Lines closer than 0.1° are merged.

Atomic structure:
a b c (Å): 5.472 5.472 6.692
angles (deg): 101.92 101.92 32.21
Positions (direct):
In 0.000 0.000 0.000
In 0.700 0.700 0.376
Pt 0.067 0.067 0.621
Pt 0.345 0.345 0.692
Pt 0.416 0.416 0.293
Pt 0.720 0.720 0.968

Peak list (10 most intense, 10 to 80 degrees two-theta, low angle first)
two_theta  I/Imax
34.48  30
35.60  17
39.70  100
40.21  63
40.42  25
41.45  25
61.04  12
63.22  19
72.75  14
75.32  13

Starting from the PBE geometry in Alexandria, the X-ray diffraction stick pattern of In2Pt5 was calculated for Cu Ka.
Lines closer than 0.1° are merged.

Atomic structure:
a b c (Å): 7.082 7.082 5.722
angles (deg): 90.00 90.00 121.34
Positions (direct):
In 0.090 0.292 0.000
In 0.292 0.090 0.500
In 0.708 0.910 0.500
In 0.910 0.708 0.000
Pt 0.096 0.343 0.500
Pt 0.268 0.732 0.250
Pt 0.268 0.732 0.750
Pt 0.343 0.096 0.000
Pt 0.500 0.500 0.250
Pt 0.500 0.500 0.750
Pt 0.657 0.904 0.000
Pt 0.732 0.268 0.250
Pt 0.732 0.268 0.750
Pt 0.904 0.657 0.500

Peak list (10 most intense, 10 to 80 degrees two-theta, low angle first)
two_theta  I/Imax
34.69  32
38.70  27
39.06  100
39.65  27
40.89  100
43.11  88
64.05  25
70.43  23
75.11  22
78.72  26

Starting from the PBE geometry in Alexandria, the X-ray diffraction stick pattern of In9Pt13 was calculated for Cu Ka.
Lines closer than 0.1° are merged.

Atomic structure:
a b c (Å): 7.225 7.225 9.670
angles (deg): 117.20 117.20 76.46
Positions (direct):
In 0.000 0.000 0.000
In 0.203 0.203 0.665
In 0.253 0.675 0.191
In 0.321 0.321 0.380
In 0.325 0.747 0.809
In 0.675 0.253 0.191
In 0.679 0.679 0.620
In 0.747 0.325 0.809
In 0.797 0.797 0.335
Pt 0.000 0.500 0.500
Pt 0.042 0.560 0.842
Pt 0.044 0.044 0.321
Pt 0.244 0.244 0.992
Pt 0.253 0.747 0.500
Pt 0.440 0.958 0.158
Pt 0.500 0.000 0.500
Pt 0.500 0.500 0.000
Pt 0.560 0.042 0.842
Pt 0.747 0.253 0.500
Pt 0.756 0.756 0.008
Pt 0.956 0.956 0.679
Pt 0.958 0.440 0.158

Peak list (10 most intense, 10 to 80 degrees two-theta, low angle first)
two_theta  I/Imax
39.03  22
39.26  100
39.37  43
39.87  96
40.34  46
57.56  19
65.83  14
72.00  27
72.65  16
73.03  13